(1)
Structure and theoretical PXRD pattern of GdErNb2Sn2 (a PBE-relaxed structure; copper Kα).
Intensities are scaled so that the largest is 1000.

Largest 10 diffraction maxima, sorted by position, 10° ≤ 2θ ≤ 80°:
| 2θ (°) | d_spacing | intensity | index |
| --- | --- | --- | --- |
| 30.12 | 2.967 | 438 | 1 1 0 |
| 30.55 | 2.926 | 549 | 1 0 2 |
| 32.10 | 2.788 | 807 | 1 1 1 |
| 32.91 | 2.721 | 323 | 0 0 3 |
| 37.47 | 2.400 | 1000 | 1 1 2 |
| 39.47 | 2.283 | 380 | 1 0 3 |
| 43.12 | 2.098 | 688 | 2 0 0 |
| 55.29 | 1.661 | 293 | 2 0 3 |
| 60.88 | 1.522 | 280 | 1 0 5 |
| 77.49 | 1.232 | 284 | 2 1 5 |

Crystal structure
Unit cell a=4.196 b=4.196 c=8.164 alpha=90.00 beta=90.00 gamma=90.00
Space group P4mm (No. 99)
Unique sites:
1 Gd 0.000 0.000 0.000 (multiplicity 1)
2 Er 0.500 0.500 0.297 (multiplicity 1)
3 Nb 0.000 0.500 0.646 (multiplicity 2)
4 Sn 0.000 0.000 0.393 (multiplicity 1)
5 Sn 0.500 0.500 0.898 (multiplicity 1)

***

(2)
Structure and theoretical PXRD pattern of Gd3ErNi4 (a PBE-relaxed structure; copper Kα).
Intensities are scaled so that the largest is 1000.

Largest 10 diffraction maxima, sorted by position, 10° ≤ 2θ ≤ 80°:
| 2θ (°) | d_spacing | intensity | index |
| --- | --- | --- | --- |
| 29.68 | 3.010 | 853 | 1 1 -1 |
| 33.14 | 2.703 | 1000 | 0 1 2 |
| 35.37 | 2.538 | 463 | 2 0 -1 |
| 35.49 | 2.530 | 447 | 2 0 1 |
| 37.10 | 2.423 | 417 | 1 1 -2 |
| 37.21 | 2.416 | 451 | 1 1 2 |
| 41.55 | 2.174 | 395 | 2 1 -1 |
| 41.65 | 2.169 | 396 | 2 1 1 |
| 42.94 | 2.106 | 532 | 0 2 0 |
| 56.84 | 1.620 | 561 | 2 2 -1 |

Crystal structure
Unit cell a=5.430 b=4.212 c=7.049 alpha=90.00 beta=90.27 gamma=90.00
Space group Pm (No. 6)
Unique sites:
1 Gd 0.000 0.000 0.000 (multiplicity 1)
2 Gd 0.236 0.000 0.497 (multiplicity 1)
3 Gd 0.735 0.500 0.638 (multiplicity 1)
4 Er 0.501 0.500 0.138 (multiplicity 1)
5 Ni 0.243 0.500 0.784 (multiplicity 1)
6 Ni 0.494 0.000 0.860 (multiplicity 1)
7 Ni 0.738 0.000 0.353 (multiplicity 1)
8 Ni 0.993 0.500 0.279 (multiplicity 1)